The following is a simulated powder XRD pattern of NdMg4Ag. It was derived from a crystal structure in Alexandria, relaxed with GGA-PBE, using Cu Kα, 1.54184 Å.
Kinematic intensities with the Lorentz-polarization factor, no thermal factor.

Atomic structure:
```
data_NdMg4Ag
_chemical_formula_sum 'Nd2 Mg8 Ag2'
_cell_length_a 8.700
_cell_length_b 4.378
_cell_length_c 7.655
_cell_angle_alpha 90.00
_cell_angle_beta 90.00
_cell_angle_gamma 90.00
_symmetry_space_group_name_H-M 'P m m a'
_symmetry_Int_Tables_number 51
_symmetry_space_group_name_Hall '-P 2a 2a'
loop_
_atom_site_label
_atom_site_fract_x
_atom_site_fract_y
_atom_site_fract_z
_atom_site_occupancy
Nd1 0.250 0.000 0.111 1
Mg1 0.000 0.000 0.500 1
Mg2 0.056 0.500 0.808 1
Mg3 0.250 0.500 0.445 1
Ag1 0.250 0.000 0.706 1
```

Main lines, by angle (10 to 80 degrees two-theta):
- hkl 0 1 0, 4.378 Å, 20.28°, I 65.4
- hkl 2 0 0, 4.350 Å, 20.42°, I 72.6
- hkl 1 0 2, 3.503 Å, 25.42°, I 54.3
- hkl 2 1 0, 3.086 Å, 28.93°, I 78.4
- hkl 2 1 1, 2.862 Å, 31.25°, I 44.3
- hkl 1 1 2, 2.735 Å, 32.74°, I 100.0
- hkl 1 0 3, 2.448 Å, 36.70°, I 37.0
- hkl 2 1 2, 2.402 Å, 37.44°, I 27.6
- hkl 0 2 0, 2.189 Å, 41.24°, I 32.2
- hkl 3 1 2, 2.044 Å, 44.31°, I 29.1